# 1
Calculated X-ray powder pattern of ErFe2B2 for Cu Kα, 1.54184 Å, from a cell relaxed with PBE.
Peak positions follow from Bragg's law for the DFT cell and can differ from measured ones.

The 10 most intense peaks (5° ≤ 2θ ≤ 70°), low angle first:
| d (Å) | Rel. int. |
| --- | --- |
| 3.359 | 95.4 |
| 2.549 | 3.7 |
| 2.344 | 49.0 |
| 2.315 | 26.9 |
| 2.233 | 100.0 |
| 1.802 | 29.3 |
| 1.647 | 13.5 |
| 1.588 | 22.7 |
| 1.429 | 20.2 |
| 1.422 | 22.2 |

Structural model:
```
data_ErFe2B2
_chemical_formula_sum 'Er2 Fe4 B4'
_cell_length_a 3.6042
_cell_length_b 3.6042
_cell_length_c 9.2604
_cell_angle_alpha 90.00
_cell_angle_beta 90.00
_cell_angle_gamma 90.00
_symmetry_space_group_name_H-M 'I 4/m m m'
_symmetry_Int_Tables_number 139
_symmetry_space_group_name_Hall '-I 4 2'
loop_
_atom_site_label
_atom_site_type_symbol
_atom_site_fract_x
_atom_site_fract_y
_atom_site_fract_z
Er1 Er 0.0000 0.0000 0.0000
Fe1 Fe 0.0000 0.5000 0.2500
B1 B 0.0000 0.0000 0.3434
```

***

# 2
Calculated X-ray powder pattern of Gd4Ga2O9 for Cu Kα, 1.54184 Å, from a cell relaxed with PBE.
Peak positions follow from Bragg's law for the DFT cell and can differ from measured ones.

The 10 most intense peaks (5° ≤ 2θ ≤ 70°), low angle first:
| d (Å) | Rel. int. |
| --- | --- |
| 3.452 | 17.3 |
| 3.093 | 100.0 |
| 3.019 | 63.4 |
| 3.006 | 27.0 |
| 2.698 | 14.0 |
| 2.645 | 17.8 |
| 2.598 | 16.8 |
| 1.888 | 33.5 |
| 1.871 | 14.6 |
| 1.611 | 17.8 |

Structural model:
```
data_Gd4Ga2O9
_chemical_formula_sum 'Gd16 Ga8 O36'
_cell_length_a 7.5484
_cell_length_b 10.7936
_cell_length_c 11.4992
_cell_angle_alpha 90.00
_cell_angle_beta 108.12
_cell_angle_gamma 90.00
_symmetry_space_group_name_H-M 'P 1 21/c 1'
_symmetry_Int_Tables_number 14
_symmetry_space_group_name_Hall '-P 2ybc'
loop_
_atom_site_label
_atom_site_type_symbol
_atom_site_fract_x
_atom_site_fract_y
_atom_site_fract_z
Gd1 Gd 0.0832 0.1160 0.4092
Gd2 Gd 0.2360 0.6124 0.7174
Gd3 Gd 0.2747 0.0956 0.8029
Gd4 Gd 0.4074 0.6286 0.0603
Ga1 Ga 0.0870 0.6798 0.3883
Ga2 Ga 0.4484 0.1748 0.1230
O1 O 0.0240 0.5232 0.3242
O2 O 0.0341 0.2277 0.7495
O3 O 0.1189 0.7392 0.5440
O4 O 0.1881 0.0056 0.6054
O5 O 0.3126 0.2359 0.9729
O6 O 0.3216 0.7370 0.3852
O7 O 0.3335 0.0025 0.3924
O8 O 0.4360 0.0069 0.1447
O9 O 0.4780 0.2404 0.7699
```

***

# 3
Calculated X-ray powder pattern of Y5Ge4 for Cu Kα, 1.54184 Å, from a cell relaxed with PBE.
Peak positions follow from Bragg's law for the DFT cell and can differ from measured ones.

The 10 most intense peaks (5° ≤ 2θ ≤ 70°), low angle first:
| d (Å) | Rel. int. |
| --- | --- |
| 2.830 | 100.0 |
| 2.820 | 36.9 |
| 2.727 | 36.8 |
| 2.673 | 36.4 |
| 2.662 | 31.2 |
| 2.517 | 55.2 |
| 2.461 | 29.5 |
| 2.431 | 27.5 |
| 2.415 | 50.4 |
| 2.399 | 30.6 |

Structural model:
```
data_Y5Ge4
_chemical_formula_sum 'Y20 Ge16'
_cell_length_a 7.6804
_cell_length_b 14.7683
_cell_length_c 7.7473
_cell_angle_alpha 90.00
_cell_angle_beta 90.00
_cell_angle_gamma 90.00
_symmetry_space_group_name_H-M 'P n m a'
_symmetry_Int_Tables_number 62
_symmetry_space_group_name_Hall '-P 2ac 2n'
loop_
_atom_site_label
_atom_site_type_symbol
_atom_site_fract_x
_atom_site_fract_y
_atom_site_fract_z
Y1 Y 0.0294 0.1015 0.1759
Y2 Y 0.1209 0.6170 0.3394
Y3 Y 0.2149 0.2500 0.5016
Ge1 Ge 0.0844 0.2500 0.8828
Ge2 Ge 0.1648 0.7500 0.6375
Ge3 Ge 0.2206 0.0443 0.5316
```

***

# 4
Calculated X-ray powder pattern of Na4SiSe4 for Cu Kα, 1.54184 Å, from a cell relaxed with PBE.
Peak positions follow from Bragg's law for the DFT cell and can differ from measured ones.

The 10 most intense peaks (5° ≤ 2θ ≤ 70°), low angle first:
| d (Å) | Rel. int. |
| --- | --- |
| 5.706 | 85.7 |
| 3.500 | 33.5 |
| 3.440 | 100.0 |
| 3.229 | 51.3 |
| 3.037 | 63.5 |
| 2.887 | 47.2 |
| 2.653 | 31.7 |
| 2.454 | 40.5 |
| 2.329 | 50.8 |
| 2.114 | 39.4 |

Structural model:
```
data_Na4SiSe4
_chemical_formula_sum 'Na16 Si4 Se16'
_cell_length_a 14.4459
_cell_length_b 9.3134
_cell_length_c 7.2157
_cell_angle_alpha 90.00
_cell_angle_beta 90.00
_cell_angle_gamma 90.00
_symmetry_space_group_name_H-M 'P n m a'
_symmetry_Int_Tables_number 62
_symmetry_space_group_name_Hall '-P 2ac 2n'
loop_
_atom_site_label
_atom_site_type_symbol
_atom_site_fract_x
_atom_site_fract_y
_atom_site_fract_z
Na1 Na 0.0000 0.0000 0.0000
Na2 Na 0.0455 0.2500 0.4966
Na3 Na 0.2327 0.5517 0.3597
Si1 Si 0.1649 0.7500 0.7799
Se1 Se 0.0955 0.5489 0.6574
Se2 Se 0.1392 0.7500 0.0944
Se3 Se 0.1826 0.2500 0.1847
```

***

Number 2 is which compound? Gd4Ga2O9